No. 1
Simulated XRD peak list of LiTiFe5O8 for Cu Kα, 1.54184 Å, from a crystal structure in Alexandria, relaxed with PBE+U.
Lines closer than 0.1° are merged.

Structural model:
Cell: 10.804 6.172 6.172 Å, 90.00 124.15 90.00°
Space group Cm (No. 8)
One atom of each set of equivalent atoms:
Li1 0.000 0.000 0.000 [2 per cell]
Ti1 0.203 0.000 0.469 [2 per cell]
Fe1 0.045 0.500 0.068 [2 per cell]
Fe2 0.178 0.000 0.905 [2 per cell]
Fe3 0.248 0.500 0.737 [2 per cell]
Fe4 0.406 0.267 0.396 [4 per cell]
O1 0.151 0.216 0.619 [4 per cell]
O2 0.156 0.222 0.176 [4 per cell]
O3 0.390 0.500 0.136 [2 per cell]
O4 0.410 0.000 0.179 [2 per cell]
O5 0.412 0.000 0.680 [2 per cell]
O6 0.418 0.500 0.646 [2 per cell]

Largest 10 diffraction maxima, most intense first, 2θ from 5° to 70°:
2θ/deg  intensity
33.92  100
34.07  79
33.23  42
59.95  40
59.45  36
33.55  34
41.38  34
28.71  32
28.93  32
58.90  32

No. 2
Simulated XRD peak list of CsDyVO4 for Cu Kα, 1.54184 Å, from a crystal structure in Alexandria, relaxed with PBE+U.
Lines closer than 0.1° are merged.

Structural model:
Cell: 5.969 5.998 8.081 Å, 90.00 108.60 90.00°
Space group P2_1/m (No. 11)
One atom of each set of equivalent atoms:
Cs1 0.218 0.250 0.441 [2 per cell]
Dy1 0.320 0.250 0.962 [2 per cell]
V1 0.217 0.750 0.141 [2 per cell]
O1 0.013 0.750 0.931 [2 per cell]
O2 0.039 0.750 0.282 [2 per cell]
O3 0.450 0.528 0.156 [4 per cell]

Largest 10 diffraction maxima, most intense first, 2θ from 5° to 70°:
2θ/deg  intensity
21.59  100
29.79  58
27.90  51
11.55  46
27.64  46
35.54  43
23.23  41
36.16  37
38.11  28
33.58  25